Structure and theoretical powder diffraction line list of NdYIr2 (a crystal structure in the Materials Project, relaxed with GGA-PBE; λ = 1.5418 Å (Cu Kα)).

Top 11 peaks for 2θ = 10–90°, low angle first:
22.0 deg, intensity 2, hkl 1 1 1; 25.5 deg, intensity 6, hkl 2 0 0; 36.3 deg, intensity 100, hkl 2 2 0; 42.9 deg, intensity 1, hkl 3 1 1; 44.9 deg, intensity 2, hkl 2 2 2; 52.3 deg, intensity 18, hkl 4 0 0; 59.1 deg, intensity 3, hkl 4 2 0; 65.4 deg, intensity 36, hkl 4 2 2; 77.1 deg, intensity 11, hkl 4 4 0; 82.8 deg, intensity 1, hkl 6 0 0; 88.4 deg, intensity 17, hkl 6 2 0

Cell lengths 6.994, 6.994, 6.994 Å; angles 90.00, 90.00, 90.00 degrees
Space group Fm-3m (No. 225)
Unique sites:
Nd 0.000 0.000 0.000
Y 0.000 0.000 0.500
Ir 0.250 0.250 0.250

***

Structure and theoretical powder diffraction line list of NiIr (a crystal structure in the Materials Project, relaxed with GGA-PBE; λ = 1.5418 Å (Cu Kα)).

Top 12 peaks for 2θ = 10–90°, low angle first:
21.3 deg, intensity 43, hkl 0 0 3; 39.5 deg, intensity 27, hkl 1 0 1; 41.5 deg, intensity 100, hkl 0 1 2; 43.4 deg, intensity 29, hkl 0 0 6; 48.9 deg, intensity 62, hkl 1 0 4; 53.9 deg, intensity 12, hkl 0 1 5; 70.3 deg, intensity 21, hkl 1 1 0; 73.0 deg, intensity 19, hkl 0 1 8; 74.4 deg, intensity 10, hkl 1 1 3; 85.1 deg, intensity 13, hkl 2 0 2; 86.4 deg, intensity 24, hkl 1 1 6; 88.9 deg, intensity 12, hkl 1 0 10

Cell lengths 2.6771, 2.6771, 12.5133 Å; angles 90.00, 90.00, 120.00 degrees
Space group R-3m (No. 166, hexagonal axes)
Unique sites:
Ni 0.0000 0.0000 0.0000
Ir 0.0000 0.0000 0.5000

***

Structure and theoretical powder diffraction line list of Pm2NiIr (a crystal structure in the Materials Project, relaxed with GGA-PBE; λ = 1.5418 Å (Cu Kα)).

Top 11 peaks for 2θ = 10–90°, low angle first:
22.0 deg, intensity 12, hkl 1 1 1; 25.5 deg, intensity 1, hkl 2 0 0; 36.3 deg, intensity 100, hkl 2 2 0; 42.9 deg, intensity 7, hkl 3 1 1; 52.3 deg, intensity 18, hkl 4 0 0; 57.4 deg, intensity 3, hkl 3 3 1; 65.4 deg, intensity 36, hkl 4 2 2; 69.9 deg, intensity 2, hkl 5 1 1; 77.2 deg, intensity 11, hkl 4 4 0; 81.4 deg, intensity 2, hkl 5 3 1; 88.4 deg, intensity 16, hkl 6 2 0

Cell lengths 6.993, 6.993, 6.993 Å; angles 90.00, 90.00, 90.00 degrees
Space group Fm-3m (No. 225)
Unique sites:
Pm 0.250 0.250 0.250
Ni 0.000 0.000 0.000
Ir 0.000 0.000 0.500

***

Structure and theoretical powder diffraction line list of Pr2NiIr (a crystal structure in the Materials Project, relaxed with GGA-PBE; λ = 1.5418 Å (Cu Kα)).

Top 10 peaks for 2θ = 10–90°, low angle first:
21.6 deg, intensity 12, hkl 1 1 1; 35.7 deg, intensity 100, hkl 2 2 0; 42.1 deg, intensity 7, hkl 3 1 1; 51.4 deg, intensity 18, hkl 4 0 0; 56.4 deg, intensity 3, hkl 3 3 1; 64.2 deg, intensity 36, hkl 4 2 2; 68.6 deg, intensity 2, hkl 5 1 1; 75.6 deg, intensity 11, hkl 4 4 0; 79.8 deg, intensity 2, hkl 5 3 1; 86.6 deg, intensity 16, hkl 6 2 0

Cell lengths 7.112, 7.112, 7.112 Å; angles 90.00, 90.00, 90.00 degrees
Space group Fm-3m (No. 225)
Unique sites:
Pr 0.250 0.250 0.250
Ni 0.000 0.000 0.000
Ir 0.000 0.000 0.500

***

Structure and theoretical powder diffraction line list of Sc2NiIr (a crystal structure in the Materials Project, relaxed with GGA-PBE; λ = 1.5418 Å (Cu Kα)).

Top 11 peaks for 2θ = 10–90°, low angle first:
24.0 deg, intensity 31, hkl 1 1 1; 27.8 deg, intensity 29, hkl 2 0 0; 39.7 deg, intensity 100, hkl 2 2 0; 47.0 deg, intensity 17, hkl 3 1 1; 49.2 deg, intensity 9, hkl 2 2 2; 57.4 deg, intensity 16, hkl 4 0 0; 63.2 deg, intensity 7, hkl 3 3 1; 65.0 deg, intensity 12, hkl 4 2 0; 72.1 deg, intensity 33, hkl 4 2 2; 77.3 deg, intensity 6, hkl 5 1 1; 85.6 deg, intensity 10, hkl 4 4 0

Cell lengths 6.417, 6.417, 6.417 Å; angles 90.00, 90.00, 90.00 degrees
Space group Fm-3m (No. 225)
Unique sites:
Sc 0.250 0.250 0.250
Ni 0.000 0.000 0.000
Ir 0.000 0.000 0.500

***

Structure and theoretical powder diffraction line list of Sm2NiIr (a crystal structure in the Materials Project, relaxed with GGA-PBE; λ = 1.5418 Å (Cu Kα)).

Top 11 peaks for 2θ = 10–90°, low angle first:
22.2 deg, intensity 12, hkl 1 1 1; 25.7 deg, intensity 1, hkl 2 0 0; 36.6 deg, intensity 100, hkl 2 2 0; 43.2 deg, intensity 6, hkl 3 1 1; 52.8 deg, intensity 18, hkl 4 0 0; 57.9 deg, intensity 3, hkl 3 3 1; 65.9 deg, intensity 36, hkl 4 2 2; 70.5 deg, intensity 2, hkl 5 1 1; 77.9 deg, intensity 11, hkl 4 4 0; 82.2 deg, intensity 2, hkl 5 3 1; 89.3 deg, intensity 16, hkl 6 2 0

Cell lengths 6.939, 6.939, 6.939 Å; angles 90.00, 90.00, 90.00 degrees
Space group Fm-3m (No. 225)
Unique sites:
Sm 0.250 0.250 0.250
Ni 0.000 0.000 0.000
Ir 0.000 0.000 0.500

***

Structure and theoretical powder diffraction line list of SrNiIr2 (a crystal structure in the Materials Project, relaxed with GGA-PBE; λ = 1.5418 Å (Cu Kα)).

Top 8 peaks for 2θ = 10–90°, low angle first:
27.2 deg, intensity 22, hkl 2 0 0; 38.8 deg, intensity 100, hkl 2 2 0; 48.1 deg, intensity 7, hkl 2 2 2; 56.1 deg, intensity 17, hkl 4 0 0; 63.4 deg, intensity 9, hkl 4 2 0; 70.3 deg, intensity 35, hkl 4 2 2; 83.4 deg, intensity 11, hkl 4 4 0; 89.7 deg, intensity 5, hkl 6 0 0

Cell lengths 6.557, 6.557, 6.557 Å; angles 90.00, 90.00, 90.00 degrees
Space group Fm-3m (No. 225)
Unique sites:
Sr 0.000 0.000 0.000
Ni 0.000 0.000 0.500
Ir 0.250 0.250 0.250

***

Structure and theoretical powder diffraction line list of Tb2NiIr (a crystal structure in the Materials Project, relaxed with GGA-PBE; λ = 1.5418 Å (Cu Kα)).

Top 11 peaks for 2θ = 10–90°, low angle first:
22.5 deg, intensity 11, hkl 1 1 1; 26.0 deg, intensity 1, hkl 2 0 0; 37.1 deg, intensity 100, hkl 2 2 0; 43.8 deg, intensity 6, hkl 3 1 1; 53.5 deg, intensity 17, hkl 4 0 0; 58.8 deg, intensity 3, hkl 3 3 1; 60.4 deg, intensity 1, hkl 4 2 0; 66.9 deg, intensity 35, hkl 4 2 2; 71.6 deg, intensity 2, hkl 5 1 1; 79.1 deg, intensity 11, hkl 4 4 0; 83.5 deg, intensity 2, hkl 5 3 1

Cell lengths 6.849, 6.849, 6.849 Å; angles 90.00, 90.00, 90.00 degrees
Space group Fm-3m (No. 225)
Unique sites:
Tb 0.250 0.250 0.250
Ni 0.000 0.000 0.000
Ir 0.000 0.000 0.500